For RbLiPdO2, a PBE-relaxed structure gives the theoretical PXRD pattern in this record (Cu Kα X-rays).

The 10 most intense peaks (15 to 90 degrees two-theta), sorted by position:
two_theta  I (rel.)
18.8  100
32.9  41
33.1  85
38.3  51
40.7  40
51.2  12
53.4  35
67.4  11
69.0  13
69.5  18

Cell and atoms:
Lattice parameters (Å, degrees): 3.120 5.424 9.449 90.00 90.00 90.00
Sites, in units of the cell vectors:
1 Rb 0.000 0.000 0.000
2 Rb 0.500 0.500 0.500
3 Li 0.000 0.000 0.365
4 Li 0.500 0.500 0.865
5 Pd 0.000 0.000 0.633
6 Pd 0.500 0.500 0.133
7 O 0.000 0.500 0.271
8 O 0.000 0.500 0.980
9 O 0.500 0.000 0.480
10 O 0.500 0.000 0.771


For Zr2Bi2Os3, a PBE-relaxed structure gives the theoretical PXRD pattern in this record (Cu Kα X-rays).

The 10 most intense peaks (15 to 90 degrees two-theta), sorted by position:
two_theta  I (rel.)
23.5  29
35.7  10
38.9  100
39.0  95
46.0  13
56.2  33
70.4  52
70.7  15
83.4  12
83.7  10

Cell and atoms:
Lattice parameters (Å, degrees): 7.998 7.998 7.998 33.68 33.68 33.68
Sites, in units of the cell vectors:
1 Zr 0.000 0.000 0.000
2 Zr 0.493 0.493 0.493
3 Bi 0.240 0.240 0.240
4 Bi 0.750 0.750 0.750
5 Os 0.368 0.368 0.368
6 Os 0.620 0.620 0.620
7 Os 0.875 0.875 0.875


For NdHoZn2As2O2, a PBE-relaxed structure gives the theoretical PXRD pattern in this record (Cu Kα X-rays).

The 10 most intense peaks (15 to 90 degrees two-theta), sorted by position:
two_theta  I (rel.)
30.0  100
31.7  18
33.3  27
37.7  41
45.4  34
52.2  30
55.4  37
60.4  9
66.2  11
89.1  12

Cell and atoms:
Lattice parameters (Å, degrees): 3.991 3.991 8.952 90.00 90.00 90.00
Sites, in units of the cell vectors:
1 Nd 0.000 0.000 0.000
2 Ho 0.500 0.500 0.253
3 Zn 0.000 0.500 0.630
4 Zn 0.500 0.000 0.630
5 As 0.000 0.000 0.451
6 As 0.500 0.500 0.812
7 O 0.000 0.500 0.139
8 O 0.500 0.000 0.139